Record 1
Diffraction record for DyHoEr2. The X-ray powder pattern is theoretical, not measured: it uses a PBE-relaxed structure and Cu Kα.
Intensities are scaled so that the largest is 100.

Structural model:
Lattice parameters (Å, degrees): 5.5615 12.4295 7.1942 90.00 90.00 90.00
Space group Ama2 (No. 40)
One atom of each set of equivalent atoms:
Dy  0.2500  0.1666  0.0000
Ho  0.2500  0.4166  0.2497
Er  0.2500  0.1661  0.5001
Er  0.2500  0.4166  0.7505

The 10 most intense peaks (10° ≤ 2θ ≤ 90°), by angle:
2θ = 28.7°, d 3.111, I = 24, (0 4 0)
2θ = 32.2°, d 2.781, I = 24, (2 0 0)
2θ = 33.0°, d 2.715, I = 100, (1 2 2)
2θ = 43.7°, d 2.073, I = 15, (2 4 0)
2θ = 50.9°, d 1.795, I = 13, (0 6 2)
2θ = 57.9°, d 1.593, I = 20, (3 2 2)
2θ = 61.5°, d 1.509, I = 23, (2 6 2)
2θ = 61.9°, d 1.499, I = 11, (1 4 4)
2θ = 84.2°, d 1.150, I = 9, (1 8 4)
2θ = 89.0°, d 1.099, I = 8, (4 6 2)

=====

Record 2
Diffraction record for Pa3P3O. The X-ray powder pattern is theoretical, not measured: it uses a PBE-relaxed structure and Cu Kα.
Intensities are scaled so that the largest is 100.

Structural model:
Lattice parameters (Å, degrees): 9.3954 9.3954 5.5805 90.00 90.00 120.00
Space group R3m (No. 160, hexagonal axes)
One atom of each set of equivalent atoms:
Pa  0.0615  0.5308  0.0000
P  0.0601  0.5301  0.5042
O  0.0000  0.0000  0.3207

The 10 most intense peaks (10° ≤ 2θ ≤ 90°), by angle:
2θ = 19.3°, d 4.602, I = 65, (1 0 1)
2θ = 27.1°, d 3.287, I = 100, (0 2 1)
2θ = 33.0°, d 2.712, I = 92, (3 0 0)
2θ = 33.3°, d 2.693, I = 44, (2 1 1)
2θ = 34.0°, d 2.639, I = 28, (0 1 2)
2θ = 38.3°, d 2.349, I = 39, (2 2 0)
2θ = 39.1°, d 2.301, I = 68, (2 0 2)
2θ = 43.8°, d 2.066, I = 37, (1 2 2)
2θ = 51.6°, d 1.770, I = 37, (3 2 1)
2θ = 59.6°, d 1.551, I = 40, (2 3 2)

=====

Record 3
Diffraction record for Nd6SnRu2Br3. The X-ray powder pattern is theoretical, not measured: it uses a PBE-relaxed structure and Cu Kα.
Intensities are scaled so that the largest is 100.

Structural model:
Lattice parameters (Å, degrees): 7.3489 12.7595 8.1602 90.00 107.58 90.00
Space group C2/m (No. 12)
One atom of each set of equivalent atoms:
Nd  0.1982  0.0000  0.2042
Nd  0.2477  0.1851  0.7959
Sn  0.0000  0.5000  0.0000
Ru  0.0000  0.1666  0.0000
Br  0.0000  0.0000  0.5000
Br  0.0000  0.3360  0.5000

The 10 most intense peaks (10° ≤ 2θ ≤ 90°), by angle:
2θ = 11.4°, d 7.779, I = 17, (0 0 1)
2θ = 28.7°, d 3.112, I = 100, (2 0 -2)
2θ = 36.4°, d 2.470, I = 11, (1 3 2)
2θ = 39.4°, d 2.286, I = 32, (1 3 -3)
2θ = 42.6°, d 2.124, I = 33, (3 3 -1)
2θ = 49.6°, d 1.838, I = 8, (2 0 3)
2θ = 52.1°, d 1.756, I = 11, (2 6 -2)
2θ = 52.2°, d 1.751, I = 7, (4 0 0)
2θ = 59.4°, d 1.556, I = 10, (4 0 -4)
2θ = 69.5°, d 1.352, I = 7, (5 3 -3)

=====

Record 4
Diffraction record for Li4Zn3Ni. The X-ray powder pattern is theoretical, not measured: it uses a PBE-relaxed structure and Cu Kα.
Intensities are scaled so that the largest is 100.

Structural model:
Lattice parameters (Å, degrees): 4.1223 22.4557 2.6655 90.00 90.00 90.00
Space group Cmmm (No. 65)
One atom of each set of equivalent atoms:
Li  0.0000  0.0942  0.0000
Li  0.0000  0.2158  0.0000
Zn  0.0000  0.3350  0.5000
Zn  0.0000  0.5000  0.0000
Ni  0.0000  0.0000  0.5000

The 10 most intense peaks (10° ≤ 2θ ≤ 90°), by angle:
2θ = 21.9°, d 4.055, I = 15, (1 1 0)
2θ = 23.8°, d 3.743, I = 100, (0 6 0)
2θ = 24.7°, d 3.611, I = 42, (1 3 0)
2θ = 41.6°, d 2.171, I = 14, (0 6 1)
2θ = 42.1°, d 2.145, I = 100, (1 3 1)
2θ = 43.9°, d 2.061, I = 24, (2 0 0)
2θ = 48.7°, d 1.871, I = 15, (0 12 0)
2θ = 50.6°, d 1.805, I = 25, (2 6 0)
2θ = 55.1°, d 1.666, I = 36, (1 9 1)
2θ = 76.6°, d 1.244, I = 15, (1 15 1)

=====

Record 5
Diffraction record for Tb7Er4Tm. The X-ray powder pattern is theoretical, not measured: it uses a PBE-relaxed structure and Cu Kα.
Intensities are scaled so that the largest is 100.

Structural model:
Lattice parameters (Å, degrees): 6.4346 6.7718 8.9848 86.65 76.46 82.43
Space group P-1 (No. 2)
One atom of each set of equivalent atoms:
Tb  0.0000  0.0000  0.0000
Tb  0.1947  0.5995  0.3845
Tb  0.3116  0.2044  0.6428
Tb  0.4883  0.7495  0.0498
Er  0.1615  0.1080  0.3153
Er  0.3536  0.6988  0.7145
Tm  0.0000  0.5000  0.0000

The 10 most intense peaks (10° ≤ 2θ ≤ 90°), by angle:
2θ = 30.7°, d 2.910, I = 36, (0 0 3)
2θ = 31.3°, d 2.858, I = 38, (2 0 2)
2θ = 31.8°, d 2.811, I = 100, (1 -2 0)
2θ = 32.8°, d 2.734, I = 49, (2 0 -1)
2θ = 32.9°, d 2.724, I = 32, (1 2 2)
2θ = 33.2°, d 2.698, I = 18, (0 1 3)
2θ = 34.7°, d 2.585, I = 11, (1 -1 3)
2θ = 42.9°, d 2.108, I = 13, (1 -2 3)
2θ = 47.5°, d 1.914, I = 13, (3 2 1)
2θ = 57.9°, d 1.593, I = 24, (-3 2 1)

=====

Record 6
Diffraction record for Pr2Nd6Tm3. The X-ray powder pattern is theoretical, not measured: it uses a PBE-relaxed structure and Cu Kα.
Intensities are scaled so that the largest is 100.

Structural model:
Lattice parameters (Å, degrees): 6.2937 8.1022 8.1452 107.50 97.35 104.81
Space group P-1 (No. 2)
One atom of each set of equivalent atoms:
Pr  0.2299  0.4097  0.0490
Nd  0.0460  0.6831  0.4110
Nd  0.1371  0.0460  0.2329
Nd  0.3196  0.7741  0.8642
Tm  0.4104  0.1364  0.6791
Tm  0.5000  0.5000  0.5000

The 10 most intense peaks (10° ≤ 2θ ≤ 90°), by angle:
2θ = 30.1°, d 2.967, I = 100, (0 1 2)
2θ = 34.9°, d 2.574, I = 34, (2 0 1)
2θ = 35.0°, d 2.561, I = 17, (1 -3 0)
2θ = 50.2°, d 1.817, I = 24, (1 3 1)
2θ = 59.6°, d 1.552, I = 22, (3 2 0)
2θ = 59.8°, d 1.546, I = 11, (2 -5 2)
2θ = 62.7°, d 1.483, I = 6, (2 4 -2)
2θ = 81.6°, d 1.179, I = 7, (2 5 0)
2θ = 81.8°, d 1.178, I = 7, (5 -4 0)
2θ = 84.2°, d 1.150, I = 7, (5 1 -1)

=====

Record 7
Diffraction record for PmCd5Hg4. The X-ray powder pattern is theoretical, not measured: it uses a PBE-relaxed structure and Cu Kα.
Intensities are scaled so that the largest is 100.

Structural model:
Lattice parameters (Å, degrees): 16.4939 4.9678 7.0756 90.00 114.62 90.00
Space group C2/m (No. 12)
One atom of each set of equivalent atoms:
Pm  0.0000  0.0000  0.0000
Cd  0.0000  0.0000  0.5000
Cd  0.1572  0.5000  0.1573
Cd  0.1804  0.0000  0.4470
Hg  0.0030  0.5000  0.2848
Hg  0.1761  0.0000  0.9050

The 10 most intense peaks (10° ≤ 2θ ≤ 90°), by angle:
2θ = 24.8°, d 3.586, I = 13, (1 1 1)
2θ = 25.3°, d 3.524, I = 21, (3 1 0)
2θ = 35.8°, d 2.509, I = 66, (1 1 2)
2θ = 35.9°, d 2.499, I = 33, (6 0 0)
2θ = 36.2°, d 2.484, I = 100, (0 2 0)
2θ = 51.9°, d 1.762, I = 23, (6 2 0)
2θ = 64.3°, d 1.449, I = 11, (7 1 2)
2θ = 64.8°, d 1.439, I = 12, (1 3 2)
2θ = 65.0°, d 1.435, I = 25, (5 3 -2)
2θ = 87.8°, d 1.112, I = 10, (6 4 0)

=====

Record 8
Diffraction record for Al4Ir3Pt. The X-ray powder pattern is theoretical, not measured: it uses a PBE-relaxed structure and Cu Kα.
Intensities are scaled so that the largest is 100.

Structural model:
Lattice parameters (Å, degrees): 2.9301 2.9301 13.0777 90.00 90.00 90.00
Space group P4/mmm (No. 123)
One atom of each set of equivalent atoms:
Al  0.0000  0.0000  0.1217
Al  0.0000  0.0000  0.3660
Ir  0.5000  0.5000  0.0000
Ir  0.5000  0.5000  0.2438
Pt  0.5000  0.5000  0.5000

The 10 most intense peaks (10° ≤ 2θ ≤ 90°), by angle:
2θ = 27.3°, d 3.269, I = 42, (0 0 4)
2θ = 30.5°, d 2.930, I = 64, (1 0 0)
2θ = 41.4°, d 2.182, I = 100, (1 0 4)
2θ = 43.7°, d 2.072, I = 44, (1 1 0)
2θ = 52.3°, d 1.750, I = 29, (1 1 4)
2θ = 63.5°, d 1.465, I = 14, (2 0 0)
2θ = 65.4°, d 1.428, I = 15, (1 0 8)
2θ = 70.4°, d 1.337, I = 12, (2 0 4)
2θ = 73.8°, d 1.283, I = 18, (1 1 8)
2θ = 78.7°, d 1.216, I = 31, (2 1 4)